1.
Simulated powder diffraction line list of AcPm2CuS5 for λ = 1.5418 Å (Cu Kα), from a cell relaxed with PBE.

Main lines, in order of falling intensity (10° ≤ 2θ ≤ 90°):
| d (Å) | two_theta | I_rel |
| --- | --- | --- |
| 2.678 | 33.45 | 100.0 |
| 2.474 | 36.31 | 99.2 |
| 3.223 | 27.68 | 60.6 |
| 3.464 | 25.72 | 52.2 |
| 3.093 | 28.87 | 49.5 |
| 4.824 | 18.39 | 49.3 |

Atomic structure:
abc: 9.8594 9.8594 11.1312
angles: 90.00 90.00 156.88
Sites, in units of the cell vectors:
Ac: 0.2039 0.7961 0.5000
Ac: 0.7961 0.2039 0.0000
Pm: 0.0828 0.9172 0.1793
Pm: 0.1066 0.8934 0.8063
Pm: 0.8934 0.1066 0.3063
Pm: 0.9172 0.0828 0.6793
Cu: 0.4370 0.5630 0.9481
Cu: 0.5630 0.4370 0.4481
S: 0.0522 0.9478 0.5562
S: 0.3038 0.6962 0.1994
S: 0.3380 0.6620 0.8198
S: 0.3655 0.6345 0.5019
S: 0.4950 0.5050 0.2789
S: 0.5050 0.4950 0.7789
S: 0.6345 0.3655 0.0019
S: 0.6620 0.3380 0.3198
S: 0.6962 0.3038 0.6994
S: 0.9478 0.0522 0.0562

***

2.
Simulated powder diffraction line list of P4S5I2 for λ = 1.5418 Å (Cu Kα), from a cell relaxed with PBE.

Main lines, in order of falling intensity (10° ≤ 2θ ≤ 90°):
| d (Å) | two_theta | I_rel |
| --- | --- | --- |
| 3.421 | 26.05 | 100.0 |
| 4.509 | 19.69 | 87.0 |
| 3.907 | 22.76 | 79.9 |
| 2.784 | 32.15 | 61.0 |
| 2.754 | 32.51 | 55.3 |
| 4.135 | 21.49 | 53.6 |

Atomic structure:
abc: 4.5844 8.2708 9.0522
angles: 89.45 79.63 89.54
Sites, in units of the cell vectors:
P: 0.0491 0.1194 0.2183
P: 0.1888 0.9682 0.4078
P: 0.8112 0.0318 0.5922
P: 0.9509 0.8806 0.7817
S: 0.0000 0.0000 0.0000
S: 0.3128 0.7163 0.6828
S: 0.4225 0.2778 0.1563
S: 0.5775 0.7222 0.8437
S: 0.6872 0.2837 0.3172
I: 0.0190 0.2929 0.6558
I: 0.9810 0.7071 0.3442

***

3.
Simulated powder diffraction line list of AcTb3PmEr for λ = 1.5418 Å (Cu Kα), from a cell relaxed with PBE.

Main lines, in order of falling intensity (10° ≤ 2θ ≤ 90°):
| d (Å) | two_theta | I_rel |
| --- | --- | --- |
| 2.900 | 30.83 | 100.0 |
| 2.793 | 32.05 | 82.0 |
| 2.999 | 29.79 | 54.9 |
| 1.632 | 56.37 | 28.4 |
| 2.837 | 31.53 | 27.1 |
| 1.990 | 45.59 | 20.6 |

Atomic structure:
abc: 8.9674 8.9674 8.7886
angles: 92.61 92.61 36.28
Sites, in units of the cell vectors:
Ac: 0.0991 0.0991 0.0896
Ac: 0.9009 0.9009 0.9104
Tb: 0.0601 0.0601 0.6522
Tb: 0.2497 0.2497 0.8312
Tb: 0.3863 0.3863 0.1730
Tb: 0.6137 0.6137 0.8270
Tb: 0.7503 0.7503 0.1688
Tb: 0.9399 0.9399 0.3478
Pm: 0.4149 0.4149 0.6006
Pm: 0.5851 0.5851 0.3994
Er: 0.2233 0.2233 0.4186
Er: 0.7767 0.7767 0.5814

***

4.
Simulated powder diffraction line list of RbCu2PbF8 for λ = 1.5418 Å (Cu Kα), from a cell relaxed with PBE.

Main lines, in order of falling intensity (10° ≤ 2θ ≤ 90°):
| d (Å) | two_theta | I_rel |
| --- | --- | --- |
| 3.257 | 27.38 | 100.0 |
| 1.777 | 51.42 | 46.6 |
| 2.999 | 29.79 | 37.1 |
| 5.167 | 17.16 | 27.5 |
| 2.544 | 35.29 | 27.2 |
| 1.940 | 46.83 | 21.9 |

Atomic structure:
abc: 6.6231 6.6231 6.6231
angles: 126.16 126.16 79.63
Sites, in units of the cell vectors:
Rb: 0.0000 0.0000 0.0000
Cu: 0.5000 0.5000 0.0000
Cu: 0.7500 0.2500 0.5000
Pb: 0.2500 0.7500 0.5000
F: 0.0129 0.3977 0.9299
F: 0.2169 0.5300 0.7116
F: 0.4678 0.0830 0.0701
F: 0.4700 0.1817 0.6870
F: 0.4947 0.7831 0.3130
F: 0.6023 0.5322 0.6152
F: 0.8183 0.5053 0.2884
F: 0.9170 0.9871 0.3848